No. 1
# CaHo2Hg7
Simulated X-ray powder pattern, Cu Kα. Input: a cell relaxed with GGA-PBE.

Principal peaks in the range 2θ from 10° to 80°, by angle:
Position (°2θ)  I/Imax
30.27  53
35.73  100
36.25  63
51.82  23
64.19  19
64.53  24

```
data_CaHo2Hg7
_space_group_name_H-M_alt 'P 3 m 1'
_space_group_IT_number 156
_cell_length_a 5.0260
_cell_length_b 5.0260
_cell_length_c 12.0564
_cell_angle_alpha 90.00
_cell_angle_beta 90.00
_cell_angle_gamma 120.00
loop_
_space_group_symop_operation_xyz
'x,y,z'
'-y,x-y,z'
'-x+y,-x,z'
'-y,-x,z'
'-x+y,y,z'
'x,x-y,z'
loop_
_atom_site_label
_atom_site_type_symbol
_atom_site_fract_x
_atom_site_fract_y
_atom_site_fract_z
Ca1 Ca 0.0000 0.0000 0.0000
Ho1 Ho 0.3333 0.6667 0.6530
Ho2 Ho 0.6667 0.3333 0.4534
Hg1 Hg 0.0000 0.0000 0.2988
Hg2 Hg 0.0000 0.0000 0.5699
Hg3 Hg 0.3333 0.6667 0.1354
Hg4 Hg 0.3333 0.6667 0.3899
Hg5 Hg 0.3333 0.6667 0.8929
Hg6 Hg 0.6667 0.3333 0.1672
Hg7 Hg 0.6667 0.3333 0.7784
```


No. 2
# Cu4Pd
Simulated X-ray powder pattern, Cu Kα. Input: a cell relaxed with GGA-PBE.

Principal peaks in the range 2θ from 10° to 80°, by angle:
Position (°2θ)  I/Imax
41.98  100
42.55  95
48.40  64
50.78  28
70.04  10
72.77  35

```
data_Cu4Pd
_space_group_name_H-M_alt 'I m m m'
_space_group_IT_number 71
_space_group_name_Hall '-I 2 2'
_cell_length_a 2.687
_cell_length_b 3.596
_cell_length_c 13.167
_cell_angle_alpha 90.00
_cell_angle_beta 90.00
_cell_angle_gamma 90.00
loop_
_atom_site_label
_atom_site_type_symbol
_atom_site_fract_x
_atom_site_fract_y
_atom_site_fract_z
Cu1 Cu 0.000 0.000 0.106
Cu2 Cu 0.000 0.000 0.298
Pd1 Pd 0.000 0.000 0.500
```


No. 3
# Pm3Hf2Ge3
Simulated X-ray powder pattern, Cu Kα. Input: a cell relaxed with GGA-PBE.

Principal peaks in the range 2θ from 10° to 80°, by angle:
Position (°2θ)  I/Imax
31.99  46
32.34  30
35.44  96
36.42  55
36.72  100
52.68  27

```
data_Pm3Hf2Ge3
_space_group_name_H-M_alt 'P 63/m c m'
_space_group_IT_number 193
_space_group_name_Hall '-P 6c 2'
_cell_length_a 8.5463
_cell_length_b 8.5463
_cell_length_c 5.9703
_cell_angle_alpha 90.00
_cell_angle_beta 90.00
_cell_angle_gamma 120.00
loop_
_atom_site_label
_atom_site_type_symbol
_atom_site_fract_x
_atom_site_fract_y
_atom_site_fract_z
Pm1 Pm 0.0000 0.2498 0.2500
Hf1 Hf 0.3333 0.6667 0.0000
Ge1 Ge 0.0000 0.3995 0.7500
```


No. 4
# Cs2KTiI6
Simulated X-ray powder pattern, Cu Kα. Input: a cell relaxed with GGA-PBE.

Principal peaks in the range 2θ from 10° to 80°, by angle:
Position (°2θ)  I/Imax
24.20  91
25.26  100
28.59  89
28.73  48
40.98  57
49.26  24

```
data_Cs2KTiI6
_space_group_name_H-M_alt 'P m m n'
_space_group_IT_number 59
_cell_length_a 8.562
_cell_length_b 12.431
_cell_length_c 9.126
_cell_angle_alpha 90.00
_cell_angle_beta 90.00
_cell_angle_gamma 90.00
loop_
_space_group_symop_operation_xyz
'x,y,z'
'-x,-y,-z'
'-x+1/2,-y+1/2,z'
'x+1/2,y+1/2,-z'
'x+1/2,-y,-z'
'-x+1/2,y,z'
'-x,y+1/2,-z'
'x,-y+1/2,z'
loop_
_atom_site_label
_atom_site_type_symbol
_atom_site_fract_x
_atom_site_fract_y
_atom_site_fract_z
Cs1 Cs 0.250 0.020 0.217
K1 K 0.250 0.250 0.720
Ti1 Ti 0.250 0.750 0.776
I1 I 0.015 0.750 0.559
I2 I 0.019 0.750 0.999
I3 I 0.250 0.522 0.776
```


No. 5
# Ca3Cd4In4
Simulated X-ray powder pattern, Cu Kα. Input: a cell relaxed with GGA-PBE.

Principal peaks in the range 2θ from 10° to 80°, by angle:
Position (°2θ)  I/Imax
24.03  55
31.47  52
32.02  100
35.56  60
36.76  99
42.09  49

```
data_Ca3Cd4In4
_space_group_name_H-M_alt 'P -1'
_space_group_IT_number 2
_cell_length_a 3.730
_cell_length_b 5.050
_cell_length_c 15.676
_cell_angle_alpha 80.85
_cell_angle_beta 83.23
_cell_angle_gamma 89.96
loop_
_space_group_symop_operation_xyz
'x,y,z'
'-x,-y,-z'
loop_
_atom_site_label
_atom_site_type_symbol
_atom_site_fract_x
_atom_site_fract_y
_atom_site_fract_z
Ca1 Ca 0.000 0.000 0.000
Ca2 Ca 0.141 0.640 0.718
Cd1 Cd 0.264 0.265 0.472
Cd2 Cd 0.410 0.909 0.184
In1 In 0.315 0.816 0.370
In2 In 0.453 0.452 0.095
```